This entry pairs a crystal structure of LiMnO4 with its computed powder diffraction line list. Radiation: CuKα. Structure: a DFT-relaxed cell (PBE+U, the Materials Project).
Peak positions follow from Bragg's law for the DFT cell and can differ from measured ones.

Cell and atoms:
```
data_LiMnO4
_cell_length_a 5.5418
_cell_length_b 8.5047
_cell_length_c 6.5827
_cell_angle_alpha 90.00
_cell_angle_beta 90.00
_cell_angle_gamma 90.00
_symmetry_space_group_name_H-M 'C m c m'
_symmetry_Int_Tables_number 63
_symmetry_space_group_name_Hall '-C 2c 2'
loop_
_atom_site_label
_atom_site_type_symbol
_atom_site_fract_x
_atom_site_fract_y
_atom_site_fract_z
Li1 Li 0.0000 0.0000 0.0000
Mn1 Mn 0.0000 0.3542 0.2500
O1 O 0.0000 0.2451 0.0509
O2 O 0.2413 0.4645 0.2500
```

The 12 most intense peaks (2θ = 10–90°), low angle first:
hkl 1 1 0, d = 4.643 Å, 2θ = 19.12°, intensity 23.0; hkl 1 1 1, d = 3.794 Å, 2θ = 23.45°, intensity 100.0; hkl 0 2 1, d = 3.572 Å, 2θ = 24.93°, intensity 64.2; hkl 0 0 2, d = 3.291 Å, 2θ = 27.09°, intensity 18.3; hkl 2 0 0, d = 2.771 Å, 2θ = 32.31°, intensity 12.8; hkl 1 1 2, d = 2.685 Å, 2θ = 33.37°, intensity 21.8; hkl 1 3 0, d = 2.524 Å, 2θ = 35.57°, intensity 14.2; hkl 2 2 0, d = 2.322 Å, 2θ = 38.79°, intensity 20.3; hkl 2 2 1, d = 2.189 Å, 2θ = 41.23°, intensity 10.6; hkl 1 3 2, d = 2.003 Å, 2θ = 45.28°, intensity 11.3; hkl 0 2 3, d = 1.950 Å, 2θ = 46.58°, intensity 10.9; hkl 2 4 2, d = 1.501 Å, 2θ = 61.80°, intensity 15.8